Diffraction record for TbWBrO4. The XRD peak list is simulated, not measured: it uses a DFT-relaxed cell (PBE+U, Alexandria) and a wavelength of 1.5418 Å.

Atomic structure:
a = 10.649 Å, b = 7.347 Å, c = 7.024 Å
α = 90.00°, β = 107.37°, γ = 90.00°
Space group C2/m (No. 12)
Unique sites:
Tb  0.230  0.000  0.121
W  0.135  0.500  0.265
Br  0.011  0.000  0.756
O  0.043  0.500  0.807
O  0.199  0.309  0.154
O  0.199  0.500  0.532

The 12 most intense peaks (5° ≤ 2θ ≤ 70°), low angle first:
(hkl)  2theta  d [Å]  I (rel.)
0 0 1  13.21  6.703  265
0 2 0  24.23  3.673  1000
2 0 1  24.95  3.569  459
0 0 2  26.60  3.352  294
1 1 -2  28.18  3.167  329
3 1 -1  28.45  3.137  518
3 1 0  29.02  3.076  238
3 1 -2  33.79  2.653  482
2 2 1  35.06  2.560  256
0 2 2  36.28  2.476  240
3 3 -1  45.33  2.001  212
1 1 3  45.78  1.982  216